# 1
# LiTl6Si2O7
Simulated powder X-ray diffraction pattern, Cu Kα. Input: DFT lattice parameters and positions (PBE).
Kinematic intensities with the Lorentz-polarization factor, no thermal factor.

Cell and atoms:
abc: 8.5564 8.5564 5.2055
angles: 90.00 90.00 120.00
Sites, in units of the cell vectors:
Li 0.0000 0.0000 0.0000
Tl 0.0982 0.3714 0.8471
Tl 0.2733 0.9018 0.8471
Tl 0.3797 0.2855 0.3869
Tl 0.6286 0.7267 0.8471
Tl 0.7145 0.0943 0.3869
Tl 0.9057 0.6203 0.3869
Si 0.3333 0.6667 0.3438
Si 0.6667 0.3333 0.8912
O 0.1271 0.5256 0.4461
O 0.3333 0.6667 0.0208
O 0.3986 0.8729 0.4461
O 0.4744 0.6014 0.4461
O 0.5183 0.3946 0.8993
O 0.6054 0.1237 0.8993
O 0.8763 0.4817 0.8993

Most intense lines, 2θ from 15° to 90°, by intensity:
2θ = 26.98°, rel. 100
2θ = 29.59°, rel. 66
2θ = 31.95°, rel. 63
2θ = 20.81°, rel. 43
2θ = 47.70°, rel. 39
2θ = 47.57°, rel. 34
2θ = 56.98°, rel. 30
2θ = 34.46°, rel. 27
2θ = 57.10°, rel. 14
2θ = 44.06°, rel. 14

# 2
# LiTmSi2O6
Simulated powder X-ray diffraction pattern, Cu Kα. Input: DFT lattice parameters and positions (PBE).
Kinematic intensities with the Lorentz-polarization factor, no thermal factor.

Cell and atoms:
abc: 6.9068 6.9068 5.4996
angles: 105.25 105.25 86.05
Sites, in units of the cell vectors:
Li 0.2419 0.7581 0.7500
Li 0.7581 0.2419 0.2500
Tm 0.1140 0.8860 0.2500
Tm 0.8860 0.1140 0.7500
Si 0.2166 0.3828 0.2930
Si 0.3828 0.2166 0.7930
Si 0.6172 0.7834 0.2070
Si 0.7834 0.6172 0.7070
O 0.0407 0.2073 0.1708
O 0.1393 0.6119 0.3674
O 0.2073 0.0407 0.6708
O 0.3382 0.3612 0.0640
O 0.3612 0.3382 0.5640
O 0.3881 0.8607 0.1326
O 0.6119 0.1393 0.8674
O 0.6388 0.6618 0.4360
O 0.6618 0.6388 0.9360
O 0.7927 0.9593 0.3292
O 0.8607 0.3881 0.6326
O 0.9593 0.7927 0.8292

Most intense lines, 2θ from 15° to 90°, by intensity:
2θ = 27.97°, rel. 100
2θ = 29.99°, rel. 71
2θ = 18.95°, rel. 54
2θ = 24.44°, rel. 52
2θ = 18.83°, rel. 43
2θ = 40.74°, rel. 36
2θ = 35.67°, rel. 34
2θ = 39.90°, rel. 27
2θ = 34.97°, rel. 26
2θ = 32.99°, rel. 26

# 3
# Li2USiO6
Simulated powder X-ray diffraction pattern, Cu Kα. Input: DFT lattice parameters and positions (PBE).
Kinematic intensities with the Lorentz-polarization factor, no thermal factor.

Cell and atoms:
abc: 5.3328 5.3328 4.3028
angles: 90.00 90.00 90.00
Sites, in units of the cell vectors:
Li 0.0000 0.5000 0.0000
Li 0.5000 0.0000 0.0000
U 0.0000 0.0000 0.6682
Si 0.5000 0.5000 0.6140
O 0.0000 0.0000 0.1811
O 0.2704 0.2704 0.7241
O 0.2704 0.7296 0.7241
O 0.5000 0.5000 0.2409
O 0.7296 0.2704 0.7241
O 0.7296 0.7296 0.7241

Most intense lines, 2θ from 15° to 90°, by intensity:
2θ = 23.59°, rel. 100
2θ = 16.62°, rel. 94
2θ = 20.64°, rel. 69
2θ = 26.62°, rel. 66
2θ = 31.55°, rel. 64
2θ = 43.38°, rel. 44
2θ = 37.72°, rel. 32
2θ = 48.73°, rel. 29
2θ = 33.61°, rel. 28
2θ = 58.81°, rel. 23